No. 1
For Ac2TbMo2N6, a cell relaxed with GGA-PBE gives the computed powder diffraction line list in this record (Cu Ka).
Kinematic intensities with the Lorentz-polarization factor, no thermal factor.

Crystal structure
```
data_Ac2TbMo2N6
_chemical_formula_sum 'Ac2 Tb1 Mo2 N6'
_space_group_name_H-M_alt 'P 1'
_space_group_IT_number 1
_space_group_name_Hall 'P 1'
_cell_length_a 7.147
_cell_length_b 7.147
_cell_length_c 7.147
_cell_angle_alpha 48.78
_cell_angle_beta 48.78
_cell_angle_gamma 48.78
loop_
_atom_site_label
_atom_site_type_symbol
_atom_site_fract_x
_atom_site_fract_y
_atom_site_fract_z
Ac1 Ac 0.205 0.205 0.205
Ac2 Ac 0.795 0.795 0.795
Tb1 Tb 0.000 0.000 0.000
Mo1 Mo 0.398 0.398 0.398
Mo2 Mo 0.602 0.602 0.602
N1 N 0.232 0.743 0.743
N2 N 0.257 0.257 0.768
N3 N 0.257 0.768 0.257
N4 N 0.743 0.232 0.743
N5 N 0.743 0.743 0.232
N6 N 0.768 0.257 0.257
```

Principal peaks in the range 2θ from 5° to 70°, by angle:
- 29.44 deg, I = 100
- 30.28 deg, I = 91
- 42.74 deg, I = 40
- 51.69 deg, I = 22
- 53.27 deg, I = 39
- 53.79 deg, I = 19



No. 2
For AlGeB3, a cell relaxed with GGA-PBE gives the computed powder diffraction line list in this record (Cu Ka).
Kinematic intensities with the Lorentz-polarization factor, no thermal factor.

Crystal structure
```
data_AlGeB3
_chemical_formula_sum 'Al1 Ge1 B3'
_space_group_name_H-M_alt 'P 1'
_space_group_IT_number 1
_space_group_name_Hall 'P 1'
_cell_length_a 4.168
_cell_length_b 4.168
_cell_length_c 4.168
_cell_angle_alpha 90.00
_cell_angle_beta 90.00
_cell_angle_gamma 90.00
loop_
_atom_site_label
_atom_site_type_symbol
_atom_site_fract_x
_atom_site_fract_y
_atom_site_fract_z
Al1 Al 0.000 0.000 0.000
Ge1 Ge 0.500 0.500 0.500
B1 B 0.000 0.000 0.500
B2 B 0.000 0.500 0.000
B3 B 0.500 0.000 0.000
```

Principal peaks in the range 2θ from 5° to 70°, by angle:
- 21.32 deg, I = 19
- 30.33 deg, I = 100
- 37.37 deg, I = 22
- 43.43 deg, I = 32
- 53.89 deg, I = 40
- 63.10 deg, I = 20